Simulated PXRD pattern
Compound: NaMn2O4
Radiation: Cu Kα
Structure: the GGA+U geometry in Alexandria
Kinematic intensities with the Lorentz-polarization factor, no thermal factor.

The 10 most intense peaks (2θ = 5–70°), by angle:
| 2theta | I_rel | hkl |
| --- | --- | --- |
| 17.6 | 100 | 0 1 1 |
| 17.8 | 66 | 1 0 1 |
| 32.9 | 58 | 1 0 3 |
| 34.8 | 49 | 1 2 1 |
| 35.0 | 51 | 2 1 1 |
| 39.2 | 37 | 0 0 4 |
| 42.7 | 59 | 2 2 0 |
| 52.0 | 29 | 0 1 5 |
| 56.2 | 23 | 2 3 1 |
| 59.4 | 61 | 2 2 4 |

```
data_NaMn2O4
_chemical_formula_sum 'Na4 Mn8 O16'
_cell_length_a 5.948
_cell_length_b 6.022
_cell_length_c 9.190
_cell_angle_alpha 90.00
_cell_angle_beta 90.00
_cell_angle_gamma 90.00
_space_group_name_H-M_alt 'I m m a'
_space_group_IT_number 74
_space_group_name_Hall '-I 2b 2'
loop_
_atom_site_label
_atom_site_type_symbol
_atom_site_fract_x
_atom_site_fract_y
_atom_site_fract_z
Na1 Na 0.000 0.250 0.115
Mn1 Mn 0.000 0.000 0.500
Mn2 Mn 0.250 0.250 0.750
O1 O 0.000 0.041 0.745
O2 O 0.215 0.250 0.535
```